For Nd6CSe5, a structure optimized by DFT (PBE) gives the theoretical powder diffraction line list in this record (Cu Kα (weighted mean of Kα1 and Kα2)).
Kinematic intensities with the Lorentz-polarization factor, no thermal factor.

Top 6 peaks for 5 to 70 degrees two-theta, in order of falling intensity:
two_theta  d/Å  I_rel
30.28  2.952  100
43.41  2.085  34
43.30  2.089  34
53.84  1.703  16
26.11  3.413  12
26.18  3.404  11

Cell and atoms:
Cell: 7.225 7.225 7.224 Å, 99.55 99.55 119.85°
Positions (direct):
Nd  0.075  0.374  0.725
Nd  0.223  0.223  0.271
Nd  0.374  0.075  0.725
Nd  0.626  0.925  0.275
Nd  0.777  0.777  0.729
Nd  0.925  0.626  0.275
C  0.000  0.000  0.500
Se  0.174  0.826  0.000
Se  0.334  0.666  0.500
Se  0.500  0.500  0.000
Se  0.666  0.334  0.500
Se  0.826  0.174  0.000